Computed X-ray diffraction stick pattern of Sm6Ga3Cu for a wavelength of 1.5418 Å, from a structure optimized by DFT (GGA-PBE).
Intensities are scaled so that the largest is 100.

Structural model:
Cell: 8.951 11.555 5.131 Å, 90.00 90.00 90.00°
Sites, in units of the cell vectors:
Sm (0.001, 0.246, 0.000)
Sm (0.167, 0.083, 0.500)
Sm (0.168, 0.420, 0.500)
Sm (0.332, 0.920, 0.000)
Sm (0.333, 0.583, 0.000)
Sm (0.499, 0.746, 0.500)
Sm (0.501, 0.254, 0.500)
Sm (0.667, 0.417, 0.000)
Sm (0.668, 0.080, 0.000)
Sm (0.832, 0.580, 0.500)
Sm (0.833, 0.917, 0.500)
Sm (0.999, 0.754, 0.000)
Ga (0.000, 0.500, 0.000)
Ga (0.167, 0.744, 0.500)
Ga (0.333, 0.244, 0.000)
Ga (0.500, 0.000, 0.500)
Ga (0.667, 0.756, 0.000)
Ga (0.833, 0.256, 0.500)
Cu (0.000, 0.000, 0.000)
Cu (0.500, 0.500, 0.500)

Largest 10 diffraction maxima, low angle first, 10° ≤ 2θ ≤ 90°:
2θ (°)  I_rel
25.23  22
30.67  100
34.78  81
34.97  40
37.08  37
47.18  34
59.92  29
60.08  19
62.60  15
82.00  12